Mg5Si6: simulated PXRD pattern (Cu Kα X-rays), based on a crystal structure in Alexandria, relaxed with PBE.

Main lines, most intense first (10 to 80 degrees two-theta):
| 2θ/deg | I/Imax |
| --- | --- |
| 44.47 | 100.0 |
| 36.35 | 78.9 |
| 36.92 | 67.7 |
| 35.75 | 55.4 |
| 38.54 | 53.6 |
| 34.75 | 49.9 |
| 37.85 | 47.7 |
| 43.17 | 33.4 |
| 40.03 | 19.7 |
| 33.97 | 19.3 |
| 34.27 | 18.7 |
| 38.86 | 17.7 |

Structural model:
a = 4.0776 Å, b = 8.4011 Å, c = 12.6905 Å
α = 73.83°, β = 80.76°, γ = 88.31°
Space group P1 (No. 1)
Symmetry-distinct sites (fractional):
Mg  0.0000  0.0000  0.0000 (multiplicity 1)
Mg  0.0071  0.5944  0.9779 (multiplicity 1)
Mg  0.1215  0.8882  0.7397 (multiplicity 1)
Mg  0.1495  0.5669  0.6811 (multiplicity 1)
Mg  0.1792  0.2544  0.6002 (multiplicity 1)
Mg  0.2689  0.0400  0.4063 (multiplicity 1)
Mg  0.2907  0.6216  0.3954 (multiplicity 1)
Mg  0.5075  0.3087  0.9664 (multiplicity 1)
Mg  0.7626  0.3182  0.4082 (multiplicity 1)
Mg  0.8864  0.2486  0.1737 (multiplicity 1)
Si  0.0840  0.2620  0.8180 (multiplicity 1)
Si  0.3253  0.3866  0.2639 (multiplicity 1)
Si  0.4237  0.0146  0.1634 (multiplicity 1)
Si  0.4716  0.7619  0.1050 (multiplicity 1)
Si  0.5358  0.8408  0.9070 (multiplicity 1)
Si  0.5845  0.6281  0.8161 (multiplicity 1)
Si  0.6071  0.1208  0.7906 (multiplicity 1)
Si  0.6914  0.0168  0.5823 (multiplicity 1)
Si  0.7107  0.5072  0.5503 (multiplicity 1)
Si  0.7391  0.8044  0.4805 (multiplicity 1)
Si  0.8738  0.8861  0.2788 (multiplicity 1)
Si  0.9421  0.6279  0.2067 (multiplicity 1)